Calculated XRD peak list
Compound: Li9Mn2Co5O16
Radiation: Cu Kα X-rays
Structure: a cell relaxed with GGA+U

Atomic structure:
```
data_Li9Mn2Co5O16
_symmetry_space_group_name_H-M 'P 1'
_symmetry_Int_Tables_number 1
_cell_length_a 3.0212
_cell_length_b 9.8284
_cell_length_c 10.1250
_cell_angle_alpha 77.15
_cell_angle_beta 88.23
_cell_angle_gamma 85.79
loop_
_symmetry_equiv_pos_as_xyz
'x,y,z'
loop_
_atom_site_label
_atom_site_fract_x
_atom_site_fract_y
_atom_site_fract_z
_atom_site_occupancy
Li1 0.0000 0.0000 0.0000 1
Li2 0.0004 0.4990 0.2541 1
Li3 0.0025 0.2498 0.6257 1
Li4 0.0120 0.9996 0.5034 1
Li5 0.4968 0.2485 0.8661 1
Li6 0.4992 0.7504 0.6265 1
Li7 0.5023 0.2521 0.3833 1
Li8 0.5041 0.7499 0.1251 1
Li9 0.9940 0.5017 0.7445 1
Mn1 0.5002 0.5036 0.9984 1
Mn2 0.9984 0.2470 0.1260 1
Co1 0.0033 0.7544 0.8728 1
Co2 0.4893 0.9965 0.2538 1
Co3 0.5046 0.4901 0.5037 1
Co4 0.5074 0.0103 0.7450 1
Co5 0.9920 0.7482 0.3779 1
O1 0.0241 0.1202 0.3062 1
O2 0.0309 0.6314 0.0522 1
O3 0.0335 0.6242 0.5520 1
O4 0.0348 0.1150 0.8080 1
O5 0.4709 0.1188 0.0767 1
O6 0.4735 0.6317 0.8207 1
O7 0.4776 0.8715 0.4272 1
O8 0.5027 0.1102 0.5797 1
O9 0.5064 0.3912 0.6696 1
O10 0.5103 0.6202 0.3311 1
O11 0.5312 0.8784 0.9184 1
O12 0.5327 0.3762 0.1782 1
O13 0.9576 0.8725 0.1995 1
O14 0.9649 0.3742 0.9440 1
O15 0.9792 0.8786 0.7000 1
O16 0.9853 0.3839 0.4436 1
```

Peak list (10 most intense, 2θ = 15–90°, by angle)
2θ = 18.3°, I = 100.0; 2θ = 34.1°, I = 21.1; 2θ = 36.3°, I = 13.1; 2θ = 36.8°, I = 10.5; 2θ = 40.9°, I = 35.3; 2θ = 44.2°, I = 26.5; 2θ = 44.9°, I = 24.4; 2θ = 61.6°, I = 8.3; 2θ = 62.0°, I = 8.1; 2θ = 62.4°, I = 8.1

Calculated XRD peak list
Compound: TiV3O8
Radiation: Cu Kα X-rays
Structure: a cell relaxed with GGA+U

Atomic structure:
```
data_TiV3O8
_symmetry_space_group_name_H-M 'P 1'
_symmetry_Int_Tables_number 1
_cell_length_a 3.7906
_cell_length_b 6.4354
_cell_length_c 12.8505
_cell_angle_alpha 77.29
_cell_angle_beta 81.54
_cell_angle_gamma 72.89
loop_
_symmetry_equiv_pos_as_xyz
'x,y,z'
loop_
_atom_site_label
_atom_site_fract_x
_atom_site_fract_y
_atom_site_fract_z
_atom_site_occupancy
Ti1 0.0000 0.0000 0.0000 1
Ti2 0.0008 0.4993 0.5000 1
V1 0.6060 0.5047 0.2789 1
V2 0.6104 0.0049 0.7790 1
V3 0.6648 0.5977 0.9888 1
V4 0.7474 0.0975 0.4888 1
V5 0.9023 0.8934 0.2904 1
V6 0.9149 0.3937 0.7904 1
O1 0.0646 0.5504 0.3159 1
O2 0.0693 0.0505 0.8161 1
O3 0.1761 0.1524 0.4932 1
O4 0.1769 0.6526 0.9933 1
O5 0.4462 0.8152 0.2871 1
O6 0.4525 0.3154 0.7873 1
O7 0.5468 0.4372 0.4681 1
O8 0.5482 0.9371 0.9682 1
O9 0.6721 0.0040 0.6447 1
O10 0.6787 0.5033 0.1446 1
O11 0.7519 0.1655 0.3282 1
O12 0.7546 0.6656 0.8282 1
O13 0.8583 0.8082 0.4593 1
O14 0.8738 0.3084 0.9592 1
O15 0.9451 0.9690 0.1398 1
O16 0.9480 0.4689 0.6397 1
```

Peak list (10 most intense, 2θ = 15–90°, by angle)
2θ = 15.0°, I = 33.3; 2θ = 24.7°, I = 100.0; 2θ = 28.6°, I = 53.8; 2θ = 29.6°, I = 32.4; 2θ = 32.8°, I = 19.1; 2θ = 33.1°, I = 20.8; 2θ = 43.5°, I = 28.8; 2θ = 44.2°, I = 29.3; 2θ = 48.0°, I = 35.0; 2θ = 57.8°, I = 25.7

Calculated XRD peak list
Compound: Ba2NaNi3O6
Radiation: Cu Kα X-rays
Structure: a cell relaxed with GGA+U

Atomic structure:
```
data_Ba2NaNi3O6
_symmetry_space_group_name_H-M 'P 1'
_symmetry_Int_Tables_number 1
_cell_length_a 9.3241
_cell_length_b 8.4478
_cell_length_c 7.0340
_cell_angle_alpha 73.42
_cell_angle_beta 60.27
_cell_angle_gamma 46.31
loop_
_symmetry_equiv_pos_as_xyz
'x,y,z'
loop_
_atom_site_label
_atom_site_fract_x
_atom_site_fract_y
_atom_site_fract_z
_atom_site_occupancy
Ba1 0.2349 0.7651 0.2349 1
Ba2 0.2500 0.2500 0.2500 1
Ba3 0.7500 0.7500 0.7500 1
Ba4 0.7651 0.2349 0.7651 1
Na1 0.3360 0.3360 0.6640 1
Na2 0.6640 0.6640 0.3360 1
Ni1 0.0022 0.2878 0.9978 1
Ni2 0.2878 0.0022 0.7122 1
Ni3 0.2994 0.7006 0.7006 1
Ni4 0.7006 0.2994 0.2994 1
Ni5 0.7122 0.9978 0.2878 1
Ni6 0.9978 0.7122 0.0022 1
O1 0.0780 0.7332 0.7013 1
O2 0.0815 0.3049 0.6951 1
O3 0.2668 0.9220 0.5125 1
O4 0.2987 0.5125 0.9220 1
O5 0.3049 0.0815 0.9185 1
O6 0.4875 0.7013 0.7332 1
O7 0.5125 0.2987 0.2668 1
O8 0.6951 0.9185 0.0815 1
O9 0.7013 0.4875 0.0780 1
O10 0.7332 0.0780 0.4875 1
O11 0.9185 0.6951 0.3049 1
O12 0.9220 0.2668 0.2987 1
```

Peak list (10 most intense, 2θ = 15–90°, by angle)
2θ = 24.8°, I = 16.8; 2θ = 28.8°, I = 54.1; 2θ = 29.4°, I = 100.0; 2θ = 31.4°, I = 28.1; 2θ = 38.4°, I = 13.4; 2θ = 40.0°, I = 16.7; 2θ = 40.4°, I = 22.5; 2θ = 45.8°, I = 25.2; 2θ = 54.6°, I = 13.3; 2θ = 60.9°, I = 21.1

Calculated XRD peak list
Compound: Sr2MgCrO4
Radiation: Cu Kα X-rays
Structure: a cell relaxed with GGA+U

Atomic structure:
```
data_Sr2MgCrO4
_symmetry_space_group_name_H-M 'P 1'
_symmetry_Int_Tables_number 1
_cell_length_a 3.5096
_cell_length_b 4.0443
_cell_length_c 8.0143
_cell_angle_alpha 89.96
_cell_angle_beta 89.32
_cell_angle_gamma 89.92
loop_
_symmetry_equiv_pos_as_xyz
'x,y,z'
loop_
_atom_site_label
_atom_site_fract_x
_atom_site_fract_y
_atom_site_fract_z
_atom_site_occupancy
Sr1 0.0000 0.0000 0.0000 1
Sr2 0.4916 0.4995 0.6790 1
Mg1 0.4857 0.5000 0.2450 1
Cr1 0.9512 0.9993 0.4298 1
O1 0.0226 0.9989 0.6876 1
O2 0.4906 0.4993 0.9853 1
O3 0.5160 0.9999 0.2494 1
O4 0.9817 0.4993 0.3970 1
```

Peak list (10 most intense, 2θ = 15–90°, by angle)
2θ = 24.7°, I = 23.2; 2θ = 31.4°, I = 41.3; 2θ = 33.5°, I = 23.6; 2θ = 33.8°, I = 100.0; 2θ = 34.2°, I = 30.5; 2θ = 44.8°, I = 25.4; 2θ = 48.1°, I = 16.1; 2θ = 48.6°, I = 12.6; 2θ = 52.1°, I = 14.9; 2θ = 57.5°, I = 12.5

Calculated XRD peak list
Compound: MgFe2Cl2O2
Radiation: Cu Kα X-rays
Structure: a cell relaxed with GGA+U

Atomic structure:
```
data_MgFe2Cl2O2
_symmetry_space_group_name_H-M 'P 1'
_symmetry_Int_Tables_number 1
_cell_length_a 4.0607
_cell_length_b 4.0632
_cell_length_c 9.7881
_cell_angle_alpha 90.00
_cell_angle_beta 90.00
_cell_angle_gamma 90.00
loop_
_symmetry_equiv_pos_as_xyz
'x,y,z'
loop_
_atom_site_label
_atom_site_fract_x
_atom_site_fract_y
_atom_site_fract_z
_atom_site_occupancy
Mg1 0.0000 0.0000 0.0000 1
Fe1 0.0000 0.0000 0.5037 1
Fe2 0.5000 0.5000 0.4851 1
Cl1 0.0000 0.5000 0.1287 1
Cl2 0.5000 0.0000 0.8714 1
O1 0.0000 0.5000 0.5043 1
O2 0.5000 0.0000 0.4860 1
```

Peak list (10 most intense, 2θ = 15–90°, by angle)
2θ = 18.1°, I = 100.0; 2θ = 23.7°, I = 22.7; 2θ = 27.3°, I = 37.8; 2θ = 28.6°, I = 28.2; 2θ = 32.5°, I = 34.1; 2θ = 36.3°, I = 27.6; 2θ = 44.6°, I = 34.3; 2θ = 48.5°, I = 25.6; 2θ = 48.9°, I = 27.6; 2θ = 53.1°, I = 19.0

Calculated XRD peak list
Compound: Pr2Mn2Se2O3
Radiation: Cu Kα X-rays
Structure: a cell relaxed with GGA+U

Atomic structure:
```
data_Pr2Mn2Se2O3
_symmetry_space_group_name_H-M 'P 1'
_symmetry_Int_Tables_number 1
_cell_length_a 9.9844
_cell_length_b 9.9844
_cell_length_c 9.9844
_cell_angle_alpha 155.89
_cell_angle_beta 155.89
_cell_angle_gamma 34.36
loop_
_symmetry_equiv_pos_as_xyz
'x,y,z'
loop_
_atom_site_label
_atom_site_fract_x
_atom_site_fract_y
_atom_site_fract_z
_atom_site_occupancy
Pr1 0.1891 0.1891 0.0000 1
Pr2 0.8109 0.8109 0.0000 1
Mn1 0.0000 0.5000 0.5000 1
Mn2 0.5000 0.0000 0.5000 1
Se1 0.3985 0.3985 0.0000 1
Se2 0.6015 0.6015 0.0000 1
O1 0.0000 0.0000 0.0000 1
O2 0.2500 0.7500 0.5000 1
O3 0.7500 0.2500 0.5000 1
```

Peak list (10 most intense, 2θ = 15–90°, by angle)
2θ = 25.5°, I = 25.0; 2θ = 30.3°, I = 22.6; 2θ = 31.8°, I = 100.0; 2θ = 35.8°, I = 18.5; 2θ = 43.4°, I = 31.0; 2θ = 49.1°, I = 14.5; 2θ = 54.8°, I = 33.4; 2θ = 63.0°, I = 9.7; 2θ = 66.4°, I = 10.6; 2θ = 72.3°, I = 11.0

Calculated XRD peak list
Compound: Fe5P4O16
Radiation: Cu Kα X-rays
Structure: a cell relaxed with GGA+U

Atomic structure:
```
data_Fe5P4O16
_symmetry_space_group_name_H-M 'P 1'
_symmetry_Int_Tables_number 1
_cell_length_a 5.1788
_cell_length_b 8.0485
_cell_length_c 8.3917
_cell_angle_alpha 112.01
_cell_angle_beta 91.57
_cell_angle_gamma 100.85
loop_
_symmetry_equiv_pos_as_xyz
'x,y,z'
loop_
_atom_site_label
_atom_site_fract_x
_atom_site_fract_y
_atom_site_fract_z
_atom_site_occupancy
Fe1 0.0000 0.0000 0.0000 1
Fe2 0.1036 0.2437 0.7706 1
Fe3 0.3540 0.5834 0.3334 1
Fe4 0.6460 0.4166 0.6666 1
Fe5 0.8964 0.7563 0.2294 1
P1 0.1354 0.2038 0.4327 1
P2 0.3630 0.6942 0.9788 1
P3 0.6370 0.3058 0.0212 1
P4 0.8646 0.7962 0.5673 1
O1 0.0543 0.0214 0.2718 1
O2 0.0957 0.7541 0.4542 1
O3 0.2187 0.6635 0.1322 1
O4 0.2397 0.8230 0.9230 1
O5 0.2607 0.3576 0.3779 1
O6 0.3271 0.5025 0.8271 1
O7 0.3331 0.2310 0.9631 1
O8 0.3346 0.1828 0.5669 1
O9 0.6654 0.8172 0.4331 1
O10 0.6669 0.7690 0.0369 1
O11 0.6729 0.4975 0.1729 1
O12 0.7393 0.6424 0.6221 1
O13 0.7603 0.1770 0.0770 1
O14 0.7813 0.3365 0.8678 1
O15 0.9043 0.2459 0.5458 1
O16 0.9457 0.9786 0.7282 1
```

Peak list (10 most intense, 2θ = 15–90°, by angle)
2θ = 19.1°, I = 100.0; 2θ = 19.7°, I = 79.9; 2θ = 23.5°, I = 31.2; 2θ = 24.4°, I = 32.0; 2θ = 27.5°, I = 46.6; 2θ = 27.7°, I = 37.3; 2θ = 29.0°, I = 43.4; 2θ = 32.2°, I = 36.6; 2θ = 35.0°, I = 45.6; 2θ = 37.7°, I = 35.8